# Li12W7O28
Theoretical powder diffractogram, λ = 1.5418 Å (Cu Kα). Input: DFT lattice parameters and positions (PBE+U).
Lines closer than 0.1° are merged.

Structural model:
Cell: 8.516 8.516 8.516 Å, 90.00 90.00 90.00°
Space group P-43m (No. 215)
Inequivalent atoms, fractional coordinates:
Li 0.091 0.354 0.646 (multiplicity 12)
W 0.000 0.000 0.500 (multiplicity 3)
W 0.359 0.359 0.359 (multiplicity 4)
O 0.124 0.124 0.621 (multiplicity 12)
O 0.147 0.385 0.385 (multiplicity 12)
O 0.392 0.392 0.608 (multiplicity 4)

Top 10 peaks for 5 to 70 degrees two-theta, low angle first:
- hkl 1 0 0, 2θ 10.39, rel. 51
- hkl 1 1 1, 2θ 18.04, rel. 100
- hkl 2 1 0, 2θ 23.36, rel. 19
- hkl 2 1 1, 2θ 25.62, rel. 57
- hkl 2 2 0, 2θ 29.67, rel. 23
- hkl 3 0 0, 2θ 31.52, rel. 59
- hkl 3 1 0, 2θ 33.27, rel. 29
- hkl 4 1 0, 2θ 43.83, rel. 26
- hkl 3 3 1, 2θ 46.48, rel. 33
- hkl 4 4 0, 2θ 61.61, rel. 21